Entry 1:
Starting from DFT lattice parameters and positions (GGA-PBE), the powder X-ray diffraction pattern of Rb4PrSb3O12 was computed for Cu Kα (weighted mean of Kα1 and Kα2).
No peak broadening, texture or thermal motion is included.

```
data_Rb4PrSb3O12
_chemical_formula_sum 'Rb8 Pr2 Sb6 O24'
_cell_length_a 8.5042
_cell_length_b 8.5042
_cell_length_c 8.5042
_cell_angle_alpha 90.00
_cell_angle_beta 90.00
_cell_angle_gamma 90.00
_space_group_name_H-M_alt 'I m -3 m'
_space_group_IT_number 229
_space_group_name_Hall '-I 4 2 3'
loop_
_atom_site_label
_atom_site_fract_x
_atom_site_fract_y
_atom_site_fract_z
Rb1 0.2500 0.2500 0.2500
Pr1 0.0000 0.0000 0.0000
Sb1 0.0000 0.0000 0.5000
O1 0.0000 0.0000 0.2744
O2 0.0000 0.2500 0.5000
```

Top 10 peaks for 2θ from 10° to 90°, sorted by position:
hkl 2 0 0, 2θ 20.89, rel. 10; hkl 2 2 0, 2θ 29.71, rel. 100; hkl 4 0 0, 2θ 42.52, rel. 32; hkl 4 2 0, 2θ 47.83, rel. 4; hkl 4 2 2, 2θ 52.73, rel. 40; hkl 4 4 0, 2θ 61.70, rel. 20; hkl 6 0 0, 2θ 65.90, rel. 2; hkl 6 2 0, 2θ 69.97, rel. 18; hkl 4 4 4, 2θ 77.81, rel. 6; hkl 6 4 2, 2θ 85.43, rel. 21


Entry 2:
Starting from DFT lattice parameters and positions (GGA-PBE), the powder X-ray diffraction pattern of Ca2Sm5Dy6 was computed for Cu Kα (weighted mean of Kα1 and Kα2).
No peak broadening, texture or thermal motion is included.

```
data_Ca2Sm5Dy6
_chemical_formula_sum 'Ca4 Sm10 Dy12'
_cell_length_a 12.0904
_cell_length_b 20.5213
_cell_length_c 3.5629
_cell_angle_alpha 90.00
_cell_angle_beta 90.00
_cell_angle_gamma 90.00
_space_group_name_H-M_alt 'P b a m'
_space_group_IT_number 55
loop_
_space_group_symop_operation_xyz
'x,y,z'
'-x,-y,-z'
'-x,-y,z'
'x,y,-z'
'x+1/2,-y+1/2,-z'
'-x+1/2,y+1/2,z'
'-x+1/2,y+1/2,-z'
'x+1/2,-y+1/2,z'
loop_
_atom_site_label
_atom_site_fract_x
_atom_site_fract_y
_atom_site_fract_z
Ca1 0.1558 0.2168 0.0000
Sm1 0.0000 0.5000 0.5000
Sm2 0.1064 0.7838 0.5000
Sm3 0.2051 0.0505 0.5000
Dy1 0.0557 0.9244 0.0000
Dy2 0.0718 0.6392 0.0000
Dy3 0.1829 0.3826 0.5000
```

Top 10 peaks for 2θ from 10° to 90°, sorted by position:
hkl 2 1 0, 2θ 15.28, rel. 23; hkl 2 0 1, 2θ 29.09, rel. 28; hkl 1 3 1, 2θ 29.21, rel. 24; hkl 4 1 0, 2θ 29.88, rel. 46; hkl 3 5 0, 2θ 31.10, rel. 25; hkl 1 7 0, 2θ 31.42, rel. 100; hkl 2 3 1, 2θ 31.96, rel. 91; hkl 4 3 0, 2θ 32.38, rel. 30; hkl 2 4 1, 2θ 34.04, rel. 33; hkl 3 6 0, 2θ 34.39, rel. 32


Entry 3:
Starting from DFT lattice parameters and positions (GGA-PBE), the powder X-ray diffraction pattern of CsRbCdI4 was computed for Cu Kα (weighted mean of Kα1 and Kα2).
No peak broadening, texture or thermal motion is included.

```
data_CsRbCdI4
_chemical_formula_sum 'Cs2 Rb2 Cd2 I8'
_cell_length_a 8.4826
_cell_length_b 8.4801
_cell_length_c 10.6083
_cell_angle_alpha 90.00
_cell_angle_beta 108.16
_cell_angle_gamma 90.00
_space_group_name_H-M_alt 'P 1 21/m 1'
_space_group_IT_number 11
loop_
_space_group_symop_operation_xyz
'x,y,z'
'-x,-y,-z'
'-x,y+1/2,-z'
'x,-y+1/2,z'
loop_
_atom_site_label
_atom_site_fract_x
_atom_site_fract_y
_atom_site_fract_z
Cs1 0.2386 0.2500 0.4345
Rb1 0.2707 0.2500 0.9441
Cd1 0.2815 0.7500 0.1924
I1 0.0897 0.7500 0.9233
I2 0.0911 0.7500 0.3686
I3 0.4943 0.5077 0.7515
```

Top 10 peaks for 2θ from 10° to 90°, sorted by position:
hkl 2 0 -2, 2θ 23.57, rel. 100; hkl 1 2 0, 2θ 23.71, rel. 65; hkl 1 1 2, 2θ 25.83, rel. 93; hkl 1 2 -2, 2θ 27.49, rel. 68; hkl 2 2 0, 2θ 30.61, rel. 38; hkl 1 0 -4, 2θ 33.80, rel. 43; hkl 3 2 -2, 2θ 38.98, rel. 39; hkl 1 3 2, 2θ 39.84, rel. 29; hkl 0 2 4, 2θ 41.71, rel. 26; hkl 3 2 -4, 2θ 46.25, rel. 34


Entry 4:
Starting from DFT lattice parameters and positions (GGA-PBE), the powder X-ray diffraction pattern of Tb5Ag4Os was computed for Cu Kα (weighted mean of Kα1 and Kα2).
No peak broadening, texture or thermal motion is included.

```
data_Tb5Ag4Os
_chemical_formula_sum 'Tb5 Ag4 Os1'
_cell_length_a 3.5399
_cell_length_b 3.5399
_cell_length_c 18.6564
_cell_angle_alpha 90.00
_cell_angle_beta 90.00
_cell_angle_gamma 90.00
_space_group_name_H-M_alt 'P 4/m m m'
_space_group_IT_number 123
_space_group_name_Hall '-P 4 2'
loop_
_atom_site_label
_atom_site_fract_x
_atom_site_fract_y
_atom_site_fract_z
Tb1 0.0000 0.0000 0.0000
Tb2 0.0000 0.0000 0.2034
Tb3 0.0000 0.0000 0.4114
Ag1 0.5000 0.5000 0.1015
Ag2 0.5000 0.5000 0.3038
Os1 0.5000 0.5000 0.5000
```

Top 10 peaks for 2θ from 10° to 90°, sorted by position:
hkl 1 0 5, 2θ 34.94, rel. 100; hkl 1 1 0, 2θ 35.88, rel. 48; hkl 0 0 10, 2θ 48.81, rel. 9; hkl 2 0 0, 2θ 51.64, rel. 17; hkl 1 1 10, 2θ 62.04, rel. 17; hkl 2 1 5, 2θ 63.87, rel. 34; hkl 2 0 10, 2θ 73.80, rel. 10; hkl 1 0 15, 2θ 82.14, rel. 6; hkl 3 0 5, 2θ 86.51, rel. 8; hkl 3 1 0, 2θ 87.05, rel. 8